# 1
Calculated powder diffractogram of HoErIn2 for Cu Kα (weighted mean of Kα1 and Kα2), from DFT lattice parameters and positions (PBE).
No peak broadening, texture or thermal motion is included.

Most intense lines, 2θ from 10° to 80°, by angle:
- d 3.731, intensity 3, hkl 2 0 0
- d 2.638, intensity 100, hkl 2 2 0
- d 2.154, intensity 1, hkl 2 2 2
- d 1.866, intensity 18, hkl 4 0 0
- d 1.669, intensity 2, hkl 4 2 0
- d 1.523, intensity 37, hkl 4 2 2
- d 1.319, intensity 11, hkl 4 4 0
- d 1.244, intensity 1, hkl 6 0 0

Atomic structure:
abc: 7.4628 7.4628 7.4628
angles: 90.00 90.00 90.00
Space group Fm-3m (No. 225)
Inequivalent atoms, fractional coordinates:
Ho1 0.0000 0.0000 0.0000
Er1 0.0000 0.0000 0.5000
In1 0.2500 0.2500 0.2500

---

# 2
Calculated powder diffractogram of HoErIr2 for Cu Kα (weighted mean of Kα1 and Kα2), from DFT lattice parameters and positions (PBE).
No peak broadening, texture or thermal motion is included.

Most intense lines, 2θ from 10° to 80°, by angle:
- d 3.410, intensity 1, hkl 2 0 0
- d 2.411, intensity 100, hkl 2 2 0
- d 1.705, intensity 18, hkl 4 0 0
- d 1.392, intensity 36, hkl 4 2 2
- d 1.206, intensity 11, hkl 4 4 0

Atomic structure:
abc: 6.8207 6.8207 6.8207
angles: 90.00 90.00 90.00
Space group Fm-3m (No. 225)
Inequivalent atoms, fractional coordinates:
Ho1 0.0000 0.0000 0.0000
Er1 0.0000 0.0000 0.5000
Ir1 0.2500 0.2500 0.2500